[1]
Diffraction record for Mn6O5F7. The XRD peak list is theoretical, not measured: it uses a cell relaxed with GGA+U and Cu Kα (weighted mean of Kα1 and Kα2).
Peak positions follow from Bragg's law for the DFT cell and can differ from measured ones.

Structure:
Cell: 5.1164 5.6955 14.6842 Å, 90.61 91.62 90.07°
Element x y z (fractional)
Mn (0.0000, 0.0000, 0.0000)
Mn (0.0006, 0.3084, 0.1798)
Mn (0.0504, 0.3005, 0.5074)
Mn (0.0528, 0.8969, 0.3418)
Mn (0.0854, 0.3049, 0.8388)
Mn (0.0887, 0.8442, 0.6658)
Mn (0.5221, 0.9109, 0.1756)
Mn (0.5447, 0.5003, 0.6880)
Mn (0.5473, 0.0077, 0.5035)
Mn (0.5480, 0.4538, 0.9953)
Mn (0.5517, 0.5655, 0.3464)
Mn (0.5555, 0.9893, 0.8361)
O (0.2213, 0.0278, 0.2404)
O (0.2358, 0.0593, 0.5700)
O (0.2529, 0.0658, 0.9101)
O (0.3670, 0.8100, 0.4104)
O (0.3954, 0.7753, 0.7486)
O (0.3967, 0.2693, 0.7673)
O (0.7281, 0.8016, 0.2779)
O (0.7795, 0.2150, 0.9190)
O (0.7947, 0.0905, 0.1078)
O (0.8661, 0.0579, 0.4384)
F (0.2146, 0.5331, 0.2524)
F (0.2165, 0.5411, 0.5897)
F (0.2182, 0.5598, 0.9256)
F (0.2549, 0.3125, 0.0830)
F (0.2822, 0.8365, 0.0722)
F (0.3847, 0.3204, 0.4211)
F (0.7054, 0.2620, 0.5924)
F (0.7165, 0.7572, 0.9288)
F (0.7213, 0.7588, 0.6023)
F (0.7252, 0.3149, 0.2726)
F (0.7417, 0.5833, 0.1118)
F (0.8769, 0.0127, 0.7610)
F (0.8857, 0.5511, 0.4336)
F (0.9139, 0.5175, 0.7523)

Principal peaks in the range 2θ = 10–80°, sorted by position:
Position (°2θ)	intensity
23.85	37.2
24.10	46.2
29.34	100.0
29.52	80.8
29.93	77.8
30.17	84.8
40.75	29.6
41.10	27.6
50.92	37.9
52.51	51.0

---

[2]
Diffraction record for Nd2NiO4. The XRD peak list is theoretical, not measured: it uses a cell relaxed with GGA+U and Cu Kα (weighted mean of Kα1 and Kα2).
Peak positions follow from Bragg's law for the DFT cell and can differ from measured ones.

Structure:
Cell: 3.9599 4.0652 12.1930 Å, 90.00 90.00 90.00°
Element x y z (fractional)
Nd (0.0000, 0.0000, 0.1498)
Nd (0.0000, 0.0000, 0.8502)
Nd (0.5000, 0.5000, 0.3502)
Nd (0.5000, 0.5000, 0.6498)
Ni (0.0000, 0.0000, 0.5000)
Ni (0.5000, 0.5000, 0.0000)
O (0.0000, 0.5000, 0.0000)
O (0.0000, 0.5000, 0.2482)
O (0.0000, 0.5000, 0.5000)
O (0.0000, 0.5000, 0.7518)
O (0.5000, 0.0000, 0.0000)
O (0.5000, 0.0000, 0.2518)
O (0.5000, 0.0000, 0.5000)
O (0.5000, 0.0000, 0.7482)

Principal peaks in the range 2θ = 10–80°, sorted by position:
Position (°2θ)	intensity
23.06	11.9
31.12	60.1
31.54	100.0
43.59	23.1
44.58	25.3
45.83	15.4
55.63	40.8
56.43	21.9
65.85	15.0
75.79	12.0

---

[3]
Diffraction record for AlTlFe2F2. The XRD peak list is theoretical, not measured: it uses a cell relaxed with GGA+U and Cu Kα (weighted mean of Kα1 and Kα2).
Peak positions follow from Bragg's law for the DFT cell and can differ from measured ones.

Structure:
Cell: 6.6163 6.6163 8.1294 Å, 106.48 106.48 42.94°
Element x y z (fractional)
Al (0.0000, 0.5000, 0.0000)
Al (0.5000, 0.0000, 0.5000)
Tl (0.1795, 0.8205, 0.7500)
Tl (0.8205, 0.1795, 0.2500)
Fe (0.0026, 0.5130, 0.3362)
Fe (0.4870, 0.9974, 0.1638)
Fe (0.5130, 0.0026, 0.8362)
Fe (0.9974, 0.4870, 0.6638)
F (0.2212, 0.5837, 0.0602)
F (0.4163, 0.7788, 0.4398)
F (0.5837, 0.2212, 0.5602)
F (0.7788, 0.4163, 0.9398)

Principal peaks in the range 2θ = 10–80°, sorted by position:
Position (°2θ)	intensity
21.75	100.0
22.97	54.5
23.36	42.4
24.09	55.9
30.49	68.2
32.21	63.6
34.13	72.7
37.13	36.4
38.17	99.3
47.60	43.1

---

[4]
Diffraction record for Na5W13O39. The XRD peak list is theoretical, not measured: it uses a cell relaxed with GGA+U and Cu Kα (weighted mean of Kα1 and Kα2).
Peak positions follow from Bragg's law for the DFT cell and can differ from measured ones.

Structure:
Cell: 8.7195 9.5491 9.5501 Å, 80.42 79.48 90.00°
Element x y z (fractional)
Na (0.0000, 0.0000, 0.0000)
Na (0.1536, 0.4619, 0.2306)
Na (0.3071, 0.9228, 0.4613)
Na (0.6929, 0.0772, 0.5387)
Na (0.8464, 0.5381, 0.7694)
W (0.0386, 0.1157, 0.3069)
W (0.1182, 0.3474, 0.9211)
W (0.1940, 0.5757, 0.5385)
W (0.2713, 0.8070, 0.1515)
W (0.3473, 0.0398, 0.7705)
W (0.4247, 0.2716, 0.3834)
W (0.5000, 0.5000, 0.0000)
W (0.5753, 0.7284, 0.6166)
W (0.6527, 0.9602, 0.2295)
W (0.7287, 0.1930, 0.8485)
W (0.8060, 0.4243, 0.4615)
W (0.8818, 0.6526, 0.0789)
W (0.9614, 0.8843, 0.6931)
O (0.0000, 0.0000, 0.5000)
O (0.0000, 0.5000, 0.0000)
O (0.0000, 0.5000, 0.5000)
O (0.0770, 0.2307, 0.1154)
O (0.0767, 0.7306, 0.1153)
O (0.0769, 0.7309, 0.6155)
O (0.1511, 0.4624, 0.7307)
O (0.1539, 0.9616, 0.2306)
O (0.1537, 0.9615, 0.7309)
O (0.2287, 0.1904, 0.8477)
O (0.2306, 0.1924, 0.3459)
O (0.2310, 0.6923, 0.3460)
O (0.3051, 0.9241, 0.9616)
O (0.3064, 0.4234, 0.4592)
O (0.3061, 0.4234, 0.9641)
O (0.3824, 0.6520, 0.0784)
O (0.3836, 0.6562, 0.5759)
O (0.3872, 0.1511, 0.5753)
O (0.4587, 0.3854, 0.1929)
O (0.4599, 0.8848, 0.1947)
O (0.4622, 0.8870, 0.6886)
O (0.5378, 0.1130, 0.3114)
O (0.5401, 0.1152, 0.8053)
O (0.5413, 0.6146, 0.8071)
O (0.6128, 0.8489, 0.4247)
O (0.6164, 0.3438, 0.4241)
O (0.6176, 0.3480, 0.9216)
O (0.6939, 0.5766, 0.0359)
O (0.6936, 0.5766, 0.5408)
O (0.6949, 0.0759, 0.0384)
O (0.7690, 0.3077, 0.6540)
O (0.7694, 0.8076, 0.6541)
O (0.7713, 0.8096, 0.1523)
O (0.8463, 0.0385, 0.2691)
O (0.8461, 0.0384, 0.7694)
O (0.8489, 0.5376, 0.2693)
O (0.9231, 0.2691, 0.3845)
O (0.9233, 0.2694, 0.8847)
O (0.9230, 0.7693, 0.8846)

Principal peaks in the range 2θ = 10–80°, sorted by position:
Position (°2θ)	intensity
22.81	100.0
32.48	68.9
40.05	13.3
46.59	23.5
52.48	41.6
57.94	27.9
68.01	14.2
72.77	19.4
77.40	12.2

---

[5]
Diffraction record for MoRh2O6. The XRD peak list is theoretical, not measured: it uses a cell relaxed with GGA+U and Cu Kα (weighted mean of Kα1 and Kα2).
Peak positions follow from Bragg's law for the DFT cell and can differ from measured ones.

Structure:
Cell: 4.6179 4.6179 9.4519 Å, 90.00 90.00 90.00°
Element x y z (fractional)
Mo (0.0000, 0.0000, 0.0000)
Mo (0.5000, 0.5000, 0.5000)
Rh (0.0000, 0.0000, 0.3323)
Rh (0.0000, 0.0000, 0.6677)
Rh (0.5000, 0.5000, 0.1677)
Rh (0.5000, 0.5000, 0.8323)
O (0.1941, 0.1941, 0.1649)
O (0.1941, 0.1941, 0.8351)
O (0.1964, 0.1964, 0.5000)
O (0.3036, 0.6964, 0.0000)
O (0.3059, 0.6941, 0.3351)
O (0.3059, 0.6941, 0.6649)
O (0.6941, 0.3059, 0.3351)
O (0.6941, 0.3059, 0.6649)
O (0.6964, 0.3036, 0.0000)
O (0.8036, 0.8036, 0.5000)
O (0.8059, 0.8059, 0.1649)
O (0.8059, 0.8059, 0.8351)

Principal peaks in the range 2θ = 10–80°, sorted by position:
Position (°2θ)	intensity
27.31	100.0
34.46	78.7
39.01	20.2
53.02	64.9
56.35	15.7
58.60	8.3
63.73	13.7
65.82	15.3
67.75	19.5
72.66	7.2

---

[6]
Diffraction record for Li3Mn2CoO6. The XRD peak list is theoretical, not measured: it uses a cell relaxed with GGA+U and Cu Kα (weighted mean of Kα1 and Kα2).
Peak positions follow from Bragg's law for the DFT cell and can differ from measured ones.

Structure:
Cell: 6.5644 6.5644 5.3055 Å, 94.81 94.81 83.10°
Element x y z (fractional)
Li (0.0757, 0.4077, 0.2223)
Li (0.2509, 0.2509, 0.7517)
Li (0.4077, 0.0757, 0.2223)
Li (0.5923, 0.9243, 0.7777)
Li (0.7491, 0.7491, 0.2483)
Li (0.9243, 0.5923, 0.7777)
Mn (0.1656, 0.8344, 0.5000)
Mn (0.3320, 0.6680, 0.0000)
Mn (0.6680, 0.3320, 0.0000)
Mn (0.8344, 0.1656, 0.5000)
Co (0.0000, 0.0000, 0.0000)
Co (0.5000, 0.5000, 0.5000)
O (0.0601, 0.7043, 0.1168)
O (0.1174, 0.1174, 0.3917)
O (0.2222, 0.5679, 0.6596)
O (0.2957, 0.9399, 0.8832)
O (0.3858, 0.3858, 0.1089)
O (0.4321, 0.7778, 0.3404)
O (0.5679, 0.2222, 0.6596)
O (0.6142, 0.6142, 0.8911)
O (0.7043, 0.0601, 0.1168)
O (0.7778, 0.4321, 0.3404)
O (0.8826, 0.8826, 0.6083)
O (0.9399, 0.2957, 0.8832)

Principal peaks in the range 2θ = 10–80°, sorted by position:
Position (°2θ)	intensity
18.17	100.0
34.01	15.9
36.01	26.3
36.86	9.4
37.01	9.0
40.68	30.0
43.99	48.4
46.50	9.7
57.97	8.9
61.46	28.9

---

[7]
Diffraction record for Fe5O7F3. The XRD peak list is theoretical, not measured: it uses a cell relaxed with GGA+U and Cu Kα (weighted mean of Kα1 and Kα2).
Peak positions follow from Bragg's law for the DFT cell and can differ from measured ones.

Structure:
Cell: 4.6812 15.2093 4.6867 Å, 90.00 91.67 90.00°
Element x y z (fractional)
Fe (0.0000, 0.0000, 0.0000)
Fe (0.0030, 0.4052, 0.0422)
Fe (0.0030, 0.5948, 0.0422)
Fe (0.4638, 0.0991, 0.5362)
Fe (0.4638, 0.9009, 0.5362)
Fe (0.4686, 0.5000, 0.5046)
Fe (0.5094, 0.2931, 0.4771)
Fe (0.5094, 0.7069, 0.4771)
Fe (0.9850, 0.2005, 0.0092)
Fe (0.9850, 0.7995, 0.0092)
O (0.1660, 0.1023, 0.8311)
O (0.1660, 0.8977, 0.8311)
O (0.1906, 0.5000, 0.8244)
O (0.2841, 0.0000, 0.3304)
O (0.2892, 0.1960, 0.3166)
O (0.2892, 0.8040, 0.3166)
O (0.3105, 0.3959, 0.3264)
O (0.3105, 0.6041, 0.3264)
O (0.6699, 0.0000, 0.7149)
O (0.6811, 0.1978, 0.7040)
O (0.6811, 0.8022, 0.7040)
O (0.7968, 0.5000, 0.2248)
O (0.8111, 0.2978, 0.1931)
O (0.8111, 0.7022, 0.1931)
F (0.1959, 0.3008, 0.8115)
F (0.1959, 0.6992, 0.8115)
F (0.6963, 0.3968, 0.7134)
F (0.6963, 0.6032, 0.7134)
F (0.7820, 0.0984, 0.2129)
F (0.7820, 0.9016, 0.2129)

Principal peaks in the range 2θ = 10–80°, sorted by position:
Position (°2θ)	intensity
26.53	96.5
27.33	94.3
35.18	100.0
38.46	17.6
39.98	15.6
52.65	55.7
53.55	53.9
60.91	15.9
67.41	19.3
67.48	19.1

---

[8]
Diffraction record for KLaNbCrO6. The XRD peak list is theoretical, not measured: it uses a cell relaxed with GGA+U and Cu Kα (weighted mean of Kα1 and Kα2).
Peak positions follow from Bragg's law for the DFT cell and can differ from measured ones.

Structure:
Cell: 5.6493 5.6493 5.6493 Å, 60.00 60.00 60.00°
Element x y z (fractional)
K (0.0000, 0.0000, 0.0000)
La (0.5000, 0.5000, 0.5000)
Nb (0.2500, 0.2500, 0.2500)
Cr (0.7500, 0.7500, 0.7500)
O (0.9996, 0.9996, 0.5004)
O (0.9996, 0.5004, 0.9996)
O (0.9996, 0.5004, 0.5004)
O (0.5004, 0.9996, 0.9996)
O (0.5004, 0.9996, 0.5004)
O (0.5004, 0.5004, 0.9996)

Principal peaks in the range 2θ = 10–80°, sorted by position:
Position (°2θ)	intensity
19.24	28.0
31.68	100.0
37.33	16.4
39.06	6.8
45.41	36.5
49.75	7.6
56.42	37.8
60.18	5.8
66.17	21.0
75.22	15.9

---

[9]
Diffraction record for CaY2Fe4O8. The XRD peak list is theoretical, not measured: it uses a cell relaxed with GGA+U and Cu Kα (weighted mean of Kα1 and Kα2).
Peak positions follow from Bragg's law for the DFT cell and can differ from measured ones.

Structure:
Cell: 6.3047 6.3047 7.4712 Å, 123.68 123.68 60.41°
Element x y z (fractional)
Ca (0.0000, 0.0000, 0.0000)
Y (0.2216, 0.2216, 0.5206)
Y (0.7784, 0.7784, 0.4794)
Fe (0.0000, 0.5000, 0.0000)
Fe (0.5000, 0.0000, 0.0000)
Fe (0.5000, 0.5000, 0.0000)
Fe (0.5000, 0.5000, 0.5000)
O (0.2071, 0.6753, 0.7200)
O (0.2604, 0.2604, 0.8469)
O (0.2710, 0.2710, 0.2386)
O (0.3247, 0.7929, 0.2800)
O (0.6753, 0.2071, 0.7200)
O (0.7290, 0.7290, 0.7614)
O (0.7396, 0.7396, 0.1531)
O (0.7929, 0.3247, 0.2800)

Principal peaks in the range 2θ = 10–80°, sorted by position:
Position (°2θ)	intensity
28.13	56.2
30.27	64.6
31.22	100.0
32.26	75.1
32.72	99.3
33.10	66.5
37.21	62.1
43.30	75.3
44.44	83.5
47.23	61.0

---

[10]
Diffraction record for Li3V2O3F3. The XRD peak list is theoretical, not measured: it uses a cell relaxed with GGA+U and Cu Kα (weighted mean of Kα1 and Kα2).
Peak positions follow from Bragg's law for the DFT cell and can differ from measured ones.

Structure:
Cell: 3.2296 5.6746 13.4714 Å, 93.74 96.73 90.39°
Element x y z (fractional)
Li (0.0000, 0.0000, 0.0000)
Li (0.0897, 0.3617, 0.1804)
Li (0.1792, 0.0558, 0.3605)
Li (0.5000, 0.5000, 0.0000)
Li (0.5896, 0.8617, 0.1804)
Li (0.6793, 0.5560, 0.3604)
V (0.2831, 0.4266, 0.5716)
V (0.4006, 0.7991, 0.8001)
V (0.7880, 0.9265, 0.5717)
V (0.8999, 0.2990, 0.8001)
O (0.2493, 0.0788, 0.5100)
O (0.3303, 0.7749, 0.6563)
O (0.4160, 0.4731, 0.8277)
O (0.7525, 0.5791, 0.5098)
O (0.8241, 0.2751, 0.6563)
O (0.9168, 0.9731, 0.8277)
F (0.0730, 0.0248, 0.1433)
F (0.1590, 0.3812, 0.3231)
F (0.4823, 0.8261, 0.9679)
F (0.5730, 0.5248, 0.1433)
F (0.6587, 0.8812, 0.3230)
F (0.9822, 0.3261, 0.9679)

Principal peaks in the range 2θ = 10–80°, sorted by position:
Position (°2θ)	intensity
19.95	66.8
26.71	100.0
31.60	64.7
31.87	74.0
32.08	75.2
33.56	81.0
40.54	89.3
56.19	51.1
56.56	53.7
57.03	56.9